No. 1
The following is a calculated powder diffraction line list of GaC. It was derived from a structure optimized by DFT (PBE), using CuKα.

Crystal structure
Lattice parameters (Å, degrees): 3.2625 3.2625 5.6109 90.00 90.00 120.00
Fractional positions:
Ga  0.3333  0.6667  0.0000
Ga  0.6667  0.3333  0.5000
C  0.3333  0.6667  0.6441
C  0.6667  0.3333  0.1441

Principal peaks in the range 5 to 70 degrees two-theta, in order of rising 2θ:
hkl 1 0 0, 31.67°, d 2.825, I 36
hkl 0 0 2, 31.90°, d 2.805, I 34
hkl 1 0 1, 35.58°, d 2.523, I 100
hkl 1 0 2, 45.57°, d 1.991, I 19
hkl 1 1 0, 56.41°, d 1.631, I 25
hkl 1 0 3, 59.25°, d 1.560, I 32
hkl 1 1 2, 66.28°, d 1.410, I 23
hkl 2 0 1, 68.49°, d 1.370, I 15

=====

No. 2
The following is a calculated powder diffraction line list of Gd3GaC. It was derived from a structure optimized by DFT (PBE), using CuKα.

Crystal structure
Lattice parameters (Å, degrees): 4.9144 4.9144 4.9144 90.00 90.00 90.00
Fractional positions:
Gd  0.0000  0.0000  0.5000
Gd  0.0000  0.5000  0.0000
Gd  0.5000  0.0000  0.0000
Ga  0.5000  0.5000  0.5000
C  0.0000  0.0000  0.0000

Principal peaks in the range 5 to 70 degrees two-theta, in order of rising 2θ:
hkl 1 0 0, 18.05°, d 4.914, I 9
hkl 1 1 0, 25.64°, d 3.475, I 4
hkl 1 1 1, 31.53°, d 2.837, I 100
hkl 2 0 0, 36.57°, d 2.457, I 55
hkl 2 1 0, 41.07°, d 2.198, I 4
hkl 2 2 0, 52.68°, d 1.737, I 38
hkl 3 1 1, 62.70°, d 1.482, I 42
hkl 2 2 2, 65.83°, d 1.419, I 13

=====

No. 3
The following is a calculated powder diffraction line list of GaH6C2SeI3. It was derived from a structure optimized by DFT (PBE), using CuKα.

Crystal structure
Lattice parameters (Å, degrees): 7.8816 13.0754 12.7455 90.00 115.10 90.00
Fractional positions:
Ga  0.2316  0.2012  0.3605
Ga  0.2316  0.2988  0.8605
Ga  0.7684  0.7012  0.1395
Ga  0.7684  0.7988  0.6395
H  0.0018  0.6300  0.8375
H  0.0018  0.8700  0.3375
H  0.1776  0.7272  0.9029
H  0.1776  0.7728  0.4029
H  0.1791  0.6029  0.2599
H  0.1791  0.8971  0.7599
H  0.2413  0.6043  0.8642
H  0.2413  0.8957  0.3642
H  0.2669  0.6409  0.1555
H  0.2669  0.8591  0.6555
H  0.3787  0.6873  0.3020
H  0.3787  0.8127  0.8020
H  0.6213  0.1873  0.1980
H  0.6213  0.3127  0.6980
H  0.7331  0.1409  0.3445
H  0.7331  0.3591  0.8445
H  0.7587  0.1043  0.6358
H  0.7587  0.3957  0.1358
H  0.8209  0.1029  0.2401
H  0.8209  0.3971  0.7401
H  0.8224  0.2272  0.5971
H  0.8224  0.2728  0.0971
H  0.9982  0.1300  0.6625
H  0.9982  0.3700  0.1625
C  0.1325  0.6631  0.8423
C  0.1325  0.8369  0.3423
C  0.2460  0.6637  0.2318
C  0.2460  0.8363  0.7318
C  0.7540  0.1637  0.2682
C  0.7540  0.3363  0.7682
C  0.8675  0.1631  0.6577
C  0.8675  0.3369  0.1577
Se  0.0829  0.7147  0.6867
Se  0.0829  0.7853  0.1867
Se  0.9171  0.2147  0.8133
Se  0.9171  0.2853  0.3133
I  0.1913  0.0965  0.1810
I  0.1913  0.4035  0.6810
I  0.2922  0.0942  0.5412
I  0.2922  0.4058  0.0412
I  0.4530  0.1450  0.9017
I  0.4530  0.3550  0.4017
I  0.5470  0.6450  0.5983
I  0.5470  0.8550  0.0983
I  0.7078  0.5942  0.9588
I  0.7078  0.9058  0.4588
I  0.8087  0.5965  0.3190
I  0.8087  0.9035  0.8190

Principal peaks in the range 5 to 70 degrees two-theta, in order of rising 2θ:
hkl 1 1 0, 14.14°, d 6.265, I 100
hkl 1 2 -1, 17.79°, d 4.985, I 42
hkl 2 1 -1, 23.76°, d 3.746, I 68
hkl 1 3 0, 23.92°, d 3.720, I 56
hkl 0 1 3, 24.11°, d 3.692, I 40
hkl 1 2 -3, 25.14°, d 3.542, I 79
hkl 0 2 3, 26.89°, d 3.316, I 37
hkl 2 3 -1, 30.72°, d 2.910, I 37